No. 1
# SrCaNiH6
Simulated X-ray diffraction stick pattern, Cu Ka. Input: a cell relaxed with GGA-PBE.
Kinematic intensities with the Lorentz-polarization factor, no thermal factor.

```
SrCaNiH6
1.0
4.958 0.000 0.000
-2.479 4.294 0.000
0.000 0.000 4.455
Sr Ca Ni H
1 1 1 6
Direct
0.000 0.000 0.000
0.333 0.667 0.504
0.667 0.333 0.700
0.347 0.173 0.500
0.510 0.021 0.917
0.510 0.490 0.917
0.827 0.173 0.500
0.827 0.653 0.500
0.979 0.490 0.917
```

Main lines, by angle (2θ from 15° to 90°):
two_theta	d [Å]	I_rel
28.88	3.092	100
36.24	2.479	56
45.89	1.977	25
46.98	1.934	27
60.74	1.525	23
71.99	1.312	13

No. 2
# CaTmNi2H8
Simulated X-ray diffraction stick pattern, Cu Ka. Input: a cell relaxed with GGA-PBE.
Kinematic intensities with the Lorentz-polarization factor, no thermal factor.

```
CaTmNi2H8
1.0
2.031 1.172 8.085
-2.031 1.172 8.085
0.000 -2.345 8.085
Ca Tm Ni H
1 1 2 8
Direct
0.000 0.000 0.000
0.500 0.500 0.500
0.245 0.245 0.245
0.755 0.755 0.755
0.028 0.028 0.581
0.028 0.581 0.028
0.311 0.311 0.311
0.419 0.972 0.972
0.581 0.028 0.028
0.689 0.689 0.689
0.972 0.419 0.972
0.972 0.972 0.419
```

Main lines, by angle (2θ from 15° to 90°):
two_theta	d [Å]	I_rel
25.59	3.481	17
29.35	3.043	100
39.23	2.297	45
44.62	2.031	32
54.31	1.689	18
65.11	1.433	19

No. 3
# Ca3H4O5
Simulated X-ray diffraction stick pattern, Cu Ka. Input: a cell relaxed with GGA-PBE.
Kinematic intensities with the Lorentz-polarization factor, no thermal factor.

```
Ca3H4O5
1.0
3.553 0.000 0.000
-1.777 3.077 0.000
0.000 0.000 13.228
Ca H O
3 4 5
Direct
0.000 0.000 0.000
0.333 0.667 0.605
0.667 0.333 0.395
0.333 0.667 0.233
0.333 0.667 0.838
0.667 0.333 0.162
0.667 0.333 0.767
0.000 0.000 0.500
0.333 0.667 0.307
0.333 0.667 0.912
0.667 0.333 0.088
0.667 0.333 0.693
```

Main lines, by angle (2θ from 15° to 90°):
two_theta	d [Å]	I_rel
20.14	4.409	39
29.81	2.997	45
32.08	2.790	39
35.58	2.524	100
40.02	2.253	68
51.43	1.777	53